The following is a simulated XRD peak list of Mn2Cr3Sb3O16. It was derived from a structure optimized by DFT (GGA+U), using copper Kα.
Kinematic intensities with the Lorentz-polarization factor, no thermal factor.

Unit cell a=6.1007 b=6.1007 c=8.9499 alpha=90.39 beta=90.39 gamma=60.20
Sites, in units of the cell vectors:
Mn  0.0000  0.0000  0.0000
Mn  0.6687  0.6687  0.4827
Cr  0.1746  0.6820  0.2708
Cr  0.5129  0.5129  0.7668
Cr  0.6820  0.1746  0.2708
Sb  0.0098  0.5123  0.7670
Sb  0.1762  0.1762  0.2729
Sb  0.5123  0.0098  0.7670
O  0.0127  0.0127  0.3815
O  0.1711  0.6791  0.8753
O  0.1737  0.1737  0.8737
O  0.2880  0.8677  0.1309
O  0.3406  0.3406  0.1688
O  0.3431  0.3431  0.6565
O  0.3936  0.8185  0.6351
O  0.5123  0.5123  0.3815
O  0.5138  0.9935  0.3787
O  0.6791  0.1711  0.8753
O  0.6789  0.6789  0.8846
O  0.8185  0.3936  0.6351
O  0.8199  0.8199  0.6299
O  0.8670  0.8670  0.1378
O  0.8677  0.2880  0.1309
O  0.9935  0.5138  0.3787

Top 10 peaks for 5° ≤ 2θ ≤ 70°, low angle first:
| 2θ/deg | Rel. int. |
| --- | --- |
| 16.79 | 211 |
| 19.47 | 1000 |
| 19.84 | 843 |
| 26.01 | 211 |
| 26.17 | 263 |
| 35.37 | 708 |
| 35.53 | 442 |
| 39.49 | 212 |
| 45.73 | 362 |
| 60.73 | 255 |